Entry 1:
Starting from the GGA-PBE geometry in OQMD, the X-ray powder pattern of CsMg2NiAs2 was computed for Cu Kα.
Lines closer than 0.1° are merged.

Structural model:
abc: 4.4550 4.4550 8.6162
angles: 90.00 90.00 90.00
Atoms (fractional coordinates):
Cs 0.0000 0.0000 0.0000
Mg 0.0000 0.5000 0.4018
Mg 0.5000 0.0000 0.4018
Ni 0.5000 0.5000 0.5540
As 0.0000 0.0000 0.5911
As 0.5000 0.5000 0.2387

Peak list (6 most intense, 10 to 90 degrees two-theta, in order of rising 2θ)
d_spacing, 2θ/deg, I_rel
3.957, 22.47, 97.1
3.150, 28.33, 100.0
3.097, 28.83, 76.0
2.543, 35.30, 54.2
2.228, 40.50, 68.1
2.122, 42.60, 52.7


Entry 2:
Starting from the GGA-PBE geometry in OQMD, the X-ray powder pattern of CsMg3ZnAs2P was computed for Cu Kα.
Lines closer than 0.1° are merged.

Structural model:
abc: 4.3025 4.4531 10.7535
angles: 90.00 90.00 90.00
Atoms (fractional coordinates):
Cs 0.0000 0.0000 0.0000
Mg 0.0000 0.5000 0.6455
Mg 0.5000 0.0000 0.3533
Mg 0.5000 0.0000 0.6555
Zn 0.0000 0.5000 0.3463
As 0.5000 0.5000 0.2232
As 0.5000 0.5000 0.7825
P 0.0000 0.0000 0.5003

Peak list (6 most intense, 10 to 90 degrees two-theta, in order of rising 2θ)
d_spacing, 2θ/deg, I_rel
3.430, 25.98, 100.0
3.359, 26.53, 77.2
2.974, 30.05, 61.3
2.151, 42.00, 33.9
2.029, 44.65, 65.7
1.822, 50.05, 31.9


Entry 3:
Starting from the GGA-PBE geometry in OQMD, the X-ray powder pattern of CsMgZn3As3 was computed for Cu Kα.
Lines closer than 0.1° are merged.

Structural model:
abc: 4.2394 4.3240 10.7881
angles: 90.00 90.00 90.00
Atoms (fractional coordinates):
Cs 0.0000 0.0000 0.0000
Mg 0.5000 0.0000 0.6510
Zn 0.0000 0.5000 0.3444
Zn 0.0000 0.5000 0.6551
Zn 0.5000 0.0000 0.3452
As 0.0000 0.0000 0.4963
As 0.5000 0.5000 0.2191
As 0.5000 0.5000 0.7836

Peak list (6 most intense, 10 to 90 degrees two-theta, in order of rising 2θ)
d_spacing, 2θ/deg, I_rel
3.374, 26.42, 100.0
3.333, 26.75, 78.3
2.915, 30.67, 48.6
2.162, 41.79, 40.4
2.014, 45.02, 81.2
1.795, 50.85, 40.1


Entry 4:
Starting from the GGA-PBE geometry in OQMD, the X-ray powder pattern of CsMg2Zn2As3 was computed for Cu Kα.
Lines closer than 0.1° are merged.

Structural model:
abc: 4.3388 4.3388 10.8656
angles: 90.00 90.00 90.00
Atoms (fractional coordinates):
Cs 0.0000 0.0000 0.0000
Mg 0.0000 0.5000 0.6504
Mg 0.5000 0.0000 0.3496
Zn 0.0000 0.5000 0.3410
Zn 0.5000 0.0000 0.6590
As 0.0000 0.0000 0.5000
As 0.5000 0.5000 0.2175
As 0.5000 0.5000 0.7825

Peak list (6 most intense, 10 to 90 degrees two-theta, in order of rising 2θ)
d_spacing, 2θ/deg, I_rel
3.390, 26.29, 100.0
2.953, 30.27, 19.8
2.341, 38.45, 14.7
2.169, 41.63, 35.8
2.034, 44.55, 36.8
1.827, 49.91, 33.6


Entry 5:
Starting from the GGA-PBE geometry in OQMD, the X-ray powder pattern of CsMg2Zn2As3 was computed for Cu Kα.
Lines closer than 0.1° are merged.

Structural model:
abc: 4.2515 4.4363 10.8537
angles: 90.00 90.00 90.00
Atoms (fractional coordinates):
Cs 0.0000 0.0000 0.0000
Mg 0.5000 0.0000 0.3462
Mg 0.5000 0.0000 0.6538
Zn 0.0000 0.5000 0.3438
Zn 0.0000 0.5000 0.6562
As 0.0000 0.0000 0.5000
As 0.5000 0.5000 0.2177
As 0.5000 0.5000 0.7823

Peak list (6 most intense, 10 to 90 degrees two-theta, in order of rising 2θ)
d_spacing, 2θ/deg, I_rel
3.435, 25.94, 100.0
3.347, 26.64, 61.7
2.954, 30.26, 33.4
2.218, 40.68, 30.9
2.033, 44.57, 62.9
1.808, 50.48, 37.2


Entry 6:
Starting from the GGA-PBE geometry in OQMD, the X-ray powder pattern of Cs2Mo3As3 was computed for Cu Kα.
Lines closer than 0.1° are merged.

Structural model:
abc: 10.8368 10.8368 4.4876
angles: 90.00 90.00 120.00
Atoms (fractional coordinates):
Cs 0.0000 0.0000 0.0000
Cs 0.2045 0.4091 0.5000
Cs 0.2045 0.7955 0.5000
Cs 0.5909 0.7955 0.5000
Mo 0.4902 0.2451 0.0000
Mo 0.5827 0.1655 0.5000
Mo 0.5827 0.4173 0.5000
Mo 0.7549 0.2451 0.0000
Mo 0.7549 0.5098 0.0000
Mo 0.8345 0.4173 0.5000
As 0.3396 0.1698 0.5000
As 0.5049 0.0097 0.0000
As 0.5049 0.4951 0.0000
As 0.8302 0.1698 0.5000
As 0.8302 0.6604 0.5000
As 0.9903 0.4951 0.0000

Peak list (6 most intense, 10 to 90 degrees two-theta, in order of rising 2θ)
d_spacing, 2θ/deg, I_rel
3.547, 25.10, 69.1
3.243, 27.50, 96.9
3.128, 28.53, 42.9
2.566, 34.96, 100.0
2.244, 40.19, 52.9
2.079, 43.53, 90.6